1.
The following is a simulated X-ray powder pattern of TbTc3. It was derived from a cell relaxed with PBE, using λ = 1.5418 Å (Cu Kα).

Atomic structure:
```
data_TbTc3
_chemical_formula_sum 'Tb8 Tc24'
_symmetry_space_group_name_H-M 'F m m m'
_symmetry_Int_Tables_number 69
_symmetry_space_group_name_Hall '-F 2 2'
_cell_length_a 5.3167
_cell_length_b 8.9546
_cell_length_c 11.7079
_cell_angle_alpha 90.00
_cell_angle_beta 90.00
_cell_angle_gamma 90.00
loop_
_atom_site_label
_atom_site_type_symbol
_atom_site_fract_x
_atom_site_fract_y
_atom_site_fract_z
_atom_site_occupancy
Tb1 Tb 0.0000 0.0000 0.1358 1
Tc1 Tc 0.0000 0.0000 0.3929 1
Tc2 Tc 0.2500 0.2500 0.0000 1
Tc3 Tc 0.2500 0.2500 0.2500 1
```

Peak list (10 most intense, 10 to 90 degrees two-theta, in order of rising 2θ)
30.11 deg, d = 2.968 Å, intensity 13, (1 1 3); 36.68 deg, d = 2.450 Å, intensity 100, (0 2 4); 39.42 deg, d = 2.286 Å, intensity 88, (2 2 0); 40.29 deg, d = 2.239 Å, intensity 41, (0 4 0); 46.13 deg, d = 1.968 Å, intensity 52, (2 0 4); 62.88 deg, d = 1.478 Å, intensity 41, (2 4 4); 70.88 deg, d = 1.329 Å, intensity 22, (4 0 0); 72.65 deg, d = 1.301 Å, intensity 14, (2 6 0); 77.44 deg, d = 1.233 Å, intensity 18, (2 2 8); 82.58 deg, d = 1.168 Å, intensity 19, (4 2 4)

=====

2.
The following is a simulated X-ray powder pattern of Na2TbPaBi4. It was derived from a cell relaxed with PBE, using λ = 1.5418 Å (Cu Kα).

Atomic structure:
```
data_Na2TbPaBi4
_chemical_formula_sum 'Na2 Tb1 Pa1 Bi4'
_symmetry_space_group_name_H-M 'P 1 2/m 1'
_symmetry_Int_Tables_number 10
_symmetry_space_group_name_Hall '-P 2y'
_cell_length_a 7.4702
_cell_length_b 5.1168
_cell_length_c 7.7495
_cell_angle_alpha 90.00
_cell_angle_beta 118.13
_cell_angle_gamma 90.00
loop_
_atom_site_label
_atom_site_type_symbol
_atom_site_fract_x
_atom_site_fract_y
_atom_site_fract_z
_atom_site_occupancy
Na1 Na 0.0000 0.0000 0.0000 1
Na2 Na 0.5000 0.5000 0.0000 1
Tb1 Tb 0.0000 0.0000 0.5000 1
Pa1 Pa 0.5000 0.5000 0.5000 1
Bi1 Bi 0.0156 0.5000 0.2657 1
Bi2 Bi 0.4907 0.0000 0.7356 1
```

Peak list (10 most intense, 10 to 90 degrees two-theta, in order of rising 2θ)
12.95 deg, d = 6.834 Å, intensity 34, (0 0 1); 22.03 deg, d = 4.035 Å, intensity 31, (1 1 0); 27.07 deg, d = 3.294 Å, intensity 58, (2 0 0); 28.93 deg, d = 3.086 Å, intensity 100, (1 1 -2); 35.07 deg, d = 2.558 Å, intensity 31, (0 2 0); 39.14 deg, d = 2.302 Å, intensity 44, (1 1 2); 40.92 deg, d = 2.206 Å, intensity 40, (3 1 -2); 44.86 deg, d = 2.020 Å, intensity 34, (2 2 0); 59.20 deg, d = 1.561 Å, intensity 14, (1 3 -2); 65.68 deg, d = 1.422 Å, intensity 19, (1 3 2)